No. 1
Structure and computed X-ray powder pattern of AcPr4Th3N8 (DFT lattice parameters and positions (PBE); Cu Kα (weighted mean of Kα1 and Kα2)).
Intensities are scaled so that the largest is 100.

The 6 most intense peaks (15 to 90 degrees two-theta), in order of rising 2θ:
hkl	two_theta	Rel. int.
2 0 2	29.48	100.0
0 0 6	29.60	33.0
0 2 4	34.20	92.4
2 2 0	49.07	33.1
2 0 8	49.23	32.8
2 2 6	58.33	47.2

Structural model:
```
data_AcPr4Th3N8
_chemical_formula_sum 'Ac3 Pr12 Th9 N24'
_cell_length_a 7.4265
_cell_length_b 7.4265
_cell_length_c 18.1075
_cell_angle_alpha 90.00
_cell_angle_beta 90.00
_cell_angle_gamma 120.00
_space_group_name_H-M_alt 'R -3 m'
_space_group_IT_number 166
_space_group_name_Hall '-R 3 2"'
loop_
_atom_site_label
_atom_site_type_symbol
_atom_site_fract_x
_atom_site_fract_y
_atom_site_fract_z
_atom_site_occupancy
Ac1 Ac 0.0000 0.0000 0.0000 1
Pr1 Pr 0.0000 0.0000 0.5000 1
Pr2 Pr 0.0000 0.5000 0.5000 1
Th1 Th 0.0000 0.5000 0.0000 1
N1 N 0.0000 0.0000 0.2560 1
N2 N 0.0160 0.5080 0.2538 1
```

No. 2
Structure and computed X-ray powder pattern of RbNa2Si17 (DFT lattice parameters and positions (PBE); Cu Kα (weighted mean of Kα1 and Kα2)).
Intensities are scaled so that the largest is 100.

The 6 most intense peaks (15 to 90 degrees two-theta), in order of rising 2θ:
hkl	two_theta	Rel. int.
4 2 2	29.55	55.8
5 1 1	31.39	100.0
4 4 0	34.25	54.3
7 3 3	50.44	27.6
6 6 0	52.43	93.3
10 6 4	79.85	29.1

Structural model:
abc: 14.8091 14.8091 14.8091
angles: 90.00 90.00 90.00
Space group Fd-3m (No. 227, origin choice 2)
Symmetry-distinct sites (fractional):
Rb (0.1250, 0.1250, 0.1250) [8 per cell]
Na (0.0000, 0.0000, 0.5000) [16 per cell]
Si (0.0326, 0.0326, 0.7174) [32 per cell]
Si (0.0676, 0.0676, 0.8704) [96 per cell]
Si (0.1250, 0.1250, 0.6250) [8 per cell]

No. 3
Structure and computed X-ray powder pattern of Ce6As3P2Se (DFT lattice parameters and positions (PBE); Cu Kα (weighted mean of Kα1 and Kα2)).
Intensities are scaled so that the largest is 100.

The 6 most intense peaks (15 to 90 degrees two-theta), in order of rising 2θ:
hkl	two_theta	Rel. int.
3 1 0	26.14	27.6
1 1 -2	30.27	100.0
0 2 0	43.34	73.8
6 2 0	53.78	25.8
1 3 -2	71.45	32.7
7 3 -2	79.53	24.3

Structural model:
```
data_Ce6As3P2Se
_chemical_formula_sum 'Ce12 As6 P4 Se2'
_cell_length_a 18.1931
_cell_length_b 4.1742
_cell_length_c 8.3544
_cell_angle_alpha 90.00
_cell_angle_beta 103.23
_cell_angle_gamma 90.00
_space_group_name_H-M_alt 'C 1 2/m 1'
_space_group_IT_number 12
loop_
_space_group_symop_operation_xyz
'x,y,z'
'-x,-y,-z'
'-x,y,-z'
'x,-y,z'
'x+1/2,y+1/2,z'
'-x+1/2,-y+1/2,-z'
'-x+1/2,y+1/2,-z'
'x+1/2,-y+1/2,z'
loop_
_atom_site_label
_atom_site_type_symbol
_atom_site_fract_x
_atom_site_fract_y
_atom_site_fract_z
_atom_site_occupancy
Ce1 Ce 0.0029 0.0000 0.2549 1
Ce2 Ce 0.1684 0.5000 0.0908 1
Ce3 Ce 0.1688 0.5000 0.5784 1
As1 As 0.0000 0.5000 0.5000 1
As2 As 0.1650 0.0000 0.8332 1
P1 P 0.1669 0.0000 0.3332 1
Se1 Se 0.0000 0.5000 0.0000 1
```

No. 4
Structure and computed X-ray powder pattern of AlCd3S4 (DFT lattice parameters and positions (PBE); Cu Kα (weighted mean of Kα1 and Kα2)).
Intensities are scaled so that the largest is 100.

The 6 most intense peaks (15 to 90 degrees two-theta), in order of rising 2θ:
hkl	two_theta	Rel. int.
1 1 2	26.30	100.0
2 0 0	29.65	14.2
2 2 0	42.43	20.2
2 0 4	44.19	36.6
3 1 2	50.60	30.1
1 1 6	53.68	12.7

Structural model:
```
data_AlCd3S4
_chemical_formula_sum 'Al2 Cd6 S8'
_cell_length_a 6.0262
_cell_length_b 6.0262
_cell_length_c 11.1826
_cell_angle_alpha 90.00
_cell_angle_beta 90.00
_cell_angle_gamma 90.00
_space_group_name_H-M_alt 'I -4 2 m'
_space_group_IT_number 121
_space_group_name_Hall 'I -4 2'
loop_
_atom_site_label
_atom_site_type_symbol
_atom_site_fract_x
_atom_site_fract_y
_atom_site_fract_z
_atom_site_occupancy
Al1 Al 0.0000 0.0000 0.0000 1
Cd1 Cd 0.0000 0.0000 0.5000 1
Cd2 Cd 0.0000 0.5000 0.2500 1
S1 S 0.2201 0.2201 0.8822 1
```

No. 5
Structure and computed X-ray powder pattern of AcCoPt (DFT lattice parameters and positions (PBE); Cu Kα (weighted mean of Kα1 and Kα2)).
Intensities are scaled so that the largest is 100.

The 6 most intense peaks (15 to 90 degrees two-theta), in order of rising 2θ:
hkl	two_theta	Rel. int.
1 3 1	27.49	54.7
2 2 0	29.41	41.4
2 2 2	32.44	75.3
1 3 3	33.60	100.0
1 1 5	37.02	59.2
1 5 3	46.75	46.7

Structural model:
```
data_AcCoPt
_chemical_formula_sum 'Ac16 Co16 Pt16'
_cell_length_a 7.1899
_cell_length_b 11.3455
_cell_length_c 13.2463
_cell_angle_alpha 90.00
_cell_angle_beta 90.00
_cell_angle_gamma 90.00
_space_group_name_H-M_alt 'F d d d'
_space_group_IT_number 70
loop_
_space_group_symop_operation_xyz
'x,y,z'
'-x,-y,-z'
'-x+1/4,-y+1/4,z'
'x+1/4,y+1/4,-z'
'x,-y+1/4,-z+1/4'
'-x,y+1/4,z+1/4'
'-x+1/4,y,-z+1/4'
'x+1/4,-y,z+1/4'
'x,y+1/2,z+1/2'
'-x,-y+1/2,-z+1/2'
'-x+1/4,-y+3/4,z+1/2'
'x+1/4,y+3/4,-z+1/2'
'x,-y+3/4,-z+3/4'
'-x,y+3/4,z+3/4'
'-x+1/4,y+1/2,-z+3/4'
'x+1/4,-y+1/2,z+3/4'
'x+1/2,y,z+1/2'
'-x+1/2,-y,-z+1/2'
'-x+3/4,-y+1/4,z+1/2'
'x+3/4,y+1/4,-z+1/2'
'x+1/2,-y+1/4,-z+3/4'
'-x+1/2,y+1/4,z+3/4'
'-x+3/4,y,-z+3/4'
'x+3/4,-y,z+3/4'
'x+1/2,y+1/2,z'
'-x+1/2,-y+1/2,-z'
'-x+3/4,-y+3/4,z'
'x+3/4,y+3/4,-z'
'x+1/2,-y+3/4,-z+1/4'
'-x+1/2,y+3/4,z+1/4'
'-x+3/4,y+1/2,-z+1/4'
'x+3/4,-y+1/2,z+1/4'
loop_
_atom_site_label
_atom_site_type_symbol
_atom_site_fract_x
_atom_site_fract_y
_atom_site_fract_z
_atom_site_occupancy
Ac1 Ac 0.0000 0.0000 0.0000 1
Co1 Co 0.1250 0.0154 0.6250 1
Pt1 Pt 0.1250 0.1250 0.4523 1
```

No. 6
Structure and computed X-ray powder pattern of PaInHg (DFT lattice parameters and positions (PBE); Cu Kα (weighted mean of Kα1 and Kα2)).
Intensities are scaled so that the largest is 100.

The 6 most intense peaks (15 to 90 degrees two-theta), in order of rising 2θ:
hkl	two_theta	Rel. int.
0 0 2	32.43	32.6
0 6 0	32.91	30.8
1 3 1	35.80	100.0
0 6 2	46.87	23.3
1 3 3	60.05	22.7
1 9 1	60.65	21.6

Structural model:
```
data_PaInHg
_chemical_formula_sum 'Pa4 In4 Hg4'
_cell_length_a 3.2894
_cell_length_b 16.3318
_cell_length_c 5.5222
_cell_angle_alpha 90.00
_cell_angle_beta 90.00
_cell_angle_gamma 90.00
_space_group_name_H-M_alt 'C m c m'
_space_group_IT_number 63
_space_group_name_Hall '-C 2c 2'
loop_
_atom_site_label
_atom_site_type_symbol
_atom_site_fract_x
_atom_site_fract_y
_atom_site_fract_z
_atom_site_occupancy
Pa1 Pa 0.0000 0.2472 0.2500 1
In1 In 0.0000 0.0801 0.7500 1
Hg1 Hg 0.0000 0.4211 0.7500 1
```

No. 7
Structure and computed X-ray powder pattern of Na3Dy2ScO6 (DFT lattice parameters and positions (PBE); Cu Kα (weighted mean of Kα1 and Kα2)).
Intensities are scaled so that the largest is 100.

The 6 most intense peaks (15 to 90 degrees two-theta), in order of rising 2θ:
hkl	two_theta	Rel. int.
0 0 1	15.96	100.0
2 0 -1	31.30	45.6
2 0 0	32.69	58.7
1 3 1	37.79	96.5
2 0 2	54.22	30.0
3 3 -1	54.81	31.0

Structural model:
```
data_Na3Dy2ScO6
_chemical_formula_sum 'Na6 Dy4 Sc2 O12'
_cell_length_a 5.7996
_cell_length_b 10.0542
_cell_length_c 5.8756
_cell_angle_alpha 90.00
_cell_angle_beta 109.07
_cell_angle_gamma 90.00
_space_group_name_H-M_alt 'C 1 2/m 1'
_space_group_IT_number 12
loop_
_space_group_symop_operation_xyz
'x,y,z'
'-x,-y,-z'
'-x,y,-z'
'x,-y,z'
'x+1/2,y+1/2,z'
'-x+1/2,-y+1/2,-z'
'-x+1/2,y+1/2,-z'
'x+1/2,-y+1/2,z'
loop_
_atom_site_label
_atom_site_type_symbol
_atom_site_fract_x
_atom_site_fract_y
_atom_site_fract_z
_atom_site_occupancy
Na1 Na 0.0000 0.0000 0.0000 1
Na2 Na 0.0000 0.3399 0.0000 1
Dy1 Dy 0.0000 0.1670 0.5000 1
Sc1 Sc 0.0000 0.5000 0.5000 1
O1 O 0.2284 0.3407 0.7087 1
O2 O 0.2498 0.0000 0.7066 1
```